# 1
Structure and theoretical powder X-ray diffraction pattern of TaCuS2 (the GGA-PBE geometry in the Materials Project; a wavelength of 1.5418 Å).
Kinematic intensities with the Lorentz-polarization factor, no thermal factor.

```
data_TaCuS2
_cell_length_a 3.3711
_cell_length_b 3.3711
_cell_length_c 13.3313
_cell_angle_alpha 90.00
_cell_angle_beta 90.00
_cell_angle_gamma 120.00
_space_group_name_H-M_alt 'P 63 m c'
_space_group_IT_number 186
_space_group_name_Hall 'P 6c -2c'
loop_
_atom_site_label
_atom_site_fract_x
_atom_site_fract_y
_atom_site_fract_z
Ta1 0.3333 0.6667 0.0000
Cu1 0.3333 0.6667 0.2178
S1 0.3333 0.6667 0.3838
S2 0.3333 0.6667 0.6204
```

Main lines, by angle (5 to 70 degrees two-theta):
h k l	Position (°2θ)	Rel. int.
0 0 2	13.3	86.3
0 0 4	26.7	31.6
1 0 0	30.6	60.0
1 0 1	31.4	84.5
1 0 2	33.5	14.3
1 0 3	36.8	77.3
1 0 4	41.1	16.0
1 0 5	46.1	100.0
1 1 0	54.4	45.3
1 1 4	61.7	19.8



# 2
Structure and theoretical powder X-ray diffraction pattern of Ta2Tl3Cu3S8 (the GGA-PBE geometry in the Materials Project; a wavelength of 1.5418 Å).
Kinematic intensities with the Lorentz-polarization factor, no thermal factor.

```
data_Ta2Tl3Cu3S8
_cell_length_a 19.8317
_cell_length_b 5.5845
_cell_length_c 7.4423
_cell_angle_alpha 90.00
_cell_angle_beta 96.43
_cell_angle_gamma 90.00
_space_group_name_H-M_alt 'C 1 2 1'
_space_group_IT_number 5
loop_
_space_group_symop_operation_xyz
'x,y,z'
'-x,y,-z'
'x+1/2,y+1/2,z'
'-x+1/2,y+1/2,-z'
loop_
_atom_site_label
_atom_site_fract_x
_atom_site_fract_y
_atom_site_fract_z
Ta1 0.1299 0.0000 0.1897
Tl1 0.0000 0.2586 0.5000
Tl2 0.1832 0.7761 0.7122
Cu1 0.0000 0.0024 0.0000
Cu2 0.1255 0.5001 0.1803
S1 0.0391 0.7666 0.2529
S2 0.0937 0.2325 0.9401
S3 0.1635 0.2549 0.4260
S4 0.2157 0.7490 0.1284
```

Main lines, by angle (5 to 70 degrees two-theta):
h k l	Position (°2θ)	Rel. int.
1 1 1	20.7	65.5
3 1 0	20.9	84.8
4 0 1	22.8	49.4
2 0 -2	24.8	86.0
6 0 -1	28.5	65.8
5 1 -1	29.2	47.4
1 1 2	29.7	89.2
2 2 -1	35.2	100.0
8 2 0	49.3	41.8
4 2 -3	51.3	67.1



# 3
Structure and theoretical powder X-ray diffraction pattern of TbCu3S3 (the GGA-PBE geometry in the Materials Project; a wavelength of 1.5418 Å).
Kinematic intensities with the Lorentz-polarization factor, no thermal factor.

```
data_TbCu3S3
_cell_length_a 6.6901
_cell_length_b 6.6901
_cell_length_c 19.1469
_cell_angle_alpha 90.00
_cell_angle_beta 90.00
_cell_angle_gamma 120.00
_space_group_name_H-M_alt 'R -3'
_space_group_IT_number 148
_space_group_name_Hall '-R 3'
loop_
_atom_site_label
_atom_site_fract_x
_atom_site_fract_y
_atom_site_fract_z
Tb1 0.0000 0.0000 0.1665
Cu1 0.9999 0.3382 0.3767
S1 0.9999 0.3342 0.9175
```

Main lines, by angle (5 to 70 degrees two-theta):
h k l	Position (°2θ)	Rel. int.
1 0 1	16.0	27.7
0 1 2	17.9	20.1
1 1 3	30.2	100.0
2 -1 6	39.0	73.1
0 0 9	42.5	12.4
3 0 0	47.1	55.6
1 1 9	50.9	18.1
4 -2 3	56.9	18.1
2 2 6	62.7	17.5
3 0 9	65.2	19.8



# 4
Structure and theoretical powder X-ray diffraction pattern of TbCuS2 (the GGA-PBE geometry in the Materials Project; a wavelength of 1.5418 Å).
Kinematic intensities with the Lorentz-polarization factor, no thermal factor.

```
data_TbCuS2
_cell_length_a 6.3792
_cell_length_b 7.0275
_cell_length_c 6.7629
_cell_angle_alpha 90.00
_cell_angle_beta 97.25
_cell_angle_gamma 90.00
_space_group_name_H-M_alt 'P 1 21/c 1'
_space_group_IT_number 14
loop_
_space_group_symop_operation_xyz
'x,y,z'
'-x,-y,-z'
'-x,y+1/2,-z+1/2'
'x,-y+1/2,z+1/2'
loop_
_atom_site_label
_atom_site_fract_x
_atom_site_fract_y
_atom_site_fract_z
Tb1 0.1932 0.0480 0.3007
Cu1 0.4196 0.6614 0.4498
S1 0.0749 0.7266 0.4977
S2 0.4082 0.1134 0.7191
```

Main lines, by angle (5 to 70 degrees two-theta):
h k l	Position (°2θ)	Rel. int.
1 1 -1	22.0	30.6
1 1 1	24.1	100.0
1 0 -2	28.5	26.9
1 2 -1	31.3	27.1
2 1 -1	32.3	67.0
1 1 2	34.3	29.9
0 2 2	37.1	38.4
2 2 0	38.3	22.1
0 1 3	42.4	25.5
3 1 1	48.6	25.6



# 5
Structure and theoretical powder X-ray diffraction pattern of Ti10Cu7S20 (the GGA-PBE geometry in the Materials Project; a wavelength of 1.5418 Å).
Kinematic intensities with the Lorentz-polarization factor, no thermal factor.

```
data_Ti10Cu7S20
_cell_length_a 12.8796
_cell_length_b 3.4397
_cell_length_c 29.6486
_cell_angle_alpha 90.00
_cell_angle_beta 98.41
_cell_angle_gamma 90.00
_space_group_name_H-M_alt 'C 1 m 1'
_space_group_IT_number 8
loop_
_space_group_symop_operation_xyz
'x,y,z'
'x,-y,z'
'x+1/2,y+1/2,z'
'x+1/2,-y+1/2,z'
loop_
_atom_site_label
_atom_site_fract_x
_atom_site_fract_y
_atom_site_fract_z
Ti1 0.0000 0.0000 0.0000
Ti2 0.0005 0.0000 0.4001
Ti3 0.0001 0.5000 0.7002
Ti4 0.0007 0.5000 0.2998
Ti5 0.0023 0.0000 0.7999
Ti6 0.0023 0.5000 0.5000
Ti7 0.0030 0.5000 0.0997
Ti8 0.0045 0.0000 0.5994
Ti9 0.0045 0.5000 0.8993
Ti10 0.4993 0.5000 0.1988
Cu1 0.2135 0.0000 0.0147
Cu2 0.2132 0.5000 0.7147
Cu3 0.2146 0.0000 0.2125
Cu4 0.2149 0.0000 0.4162
Cu5 0.2162 0.5000 0.3139
Cu6 0.2914 0.0000 0.8848
Cu7 0.2915 0.5000 0.5848
S1 0.1154 0.0000 0.4750
S2 0.1164 0.0000 0.0742
S3 0.1157 0.5000 0.7746
S4 0.1178 0.0000 0.8739
S5 0.1179 0.5000 0.5739
S6 0.1186 0.0000 0.6730
S7 0.1186 0.5000 0.9731
S8 0.1196 0.0000 0.2738
S9 0.1196 0.5000 0.1731
S10 0.1199 0.5000 0.3746
S11 0.3860 0.0000 0.6265
S12 0.3862 0.5000 0.9265
S13 0.3872 0.0000 0.0260
S14 0.3867 0.5000 0.7256
S15 0.3876 0.0000 0.2256
S16 0.3876 0.0000 0.4253
S17 0.3888 0.0000 0.8249
S18 0.3887 0.5000 0.3256
S19 0.3889 0.5000 0.5250
S20 0.3916 0.5000 0.1257
```

Main lines, by angle (5 to 70 degrees two-theta):
h k l	Position (°2θ)	Rel. int.
2 0 0	13.9	13.0
0 0 7	21.2	18.5
1 1 -5	30.4	100.0
2 0 10	35.6	50.4
4 0 10	45.0	25.1
5 1 -5	45.2	47.1
5 1 5	48.8	55.3
6 0 -10	49.2	28.0
0 2 0	53.3	26.8
1 1 -15	53.5	52.6



# 6
Structure and theoretical powder X-ray diffraction pattern of Ti16CuS32 (the GGA-PBE geometry in the Materials Project; a wavelength of 1.5418 Å).
Kinematic intensities with the Lorentz-polarization factor, no thermal factor.

```
data_Ti16CuS32
_cell_length_a 6.9863
_cell_length_b 6.9863
_cell_length_c 68.4105
_cell_angle_alpha 90.00
_cell_angle_beta 90.00
_cell_angle_gamma 120.00
_space_group_name_H-M_alt 'R 3 m'
_space_group_IT_number 160
_space_group_name_Hall 'R 3 -2"'
loop_
_atom_site_label
_atom_site_fract_x
_atom_site_fract_y
_atom_site_fract_z
Ti1 0.0000 0.0000 0.0000
Ti2 0.0000 0.0000 0.2475
Ti3 0.0000 0.0000 0.4985
Ti4 0.0000 0.0000 0.7491
Ti5 0.0013 0.5007 0.3742
Ti6 0.0024 0.5012 0.8735
Ti7 0.0067 0.5033 0.6248
Ti8 0.1670 0.3340 0.4573
Cu1 0.0000 0.0000 0.5928
S1 0.0000 0.0000 0.0607
S2 0.0000 0.0000 0.1871
S3 0.0000 0.0000 0.3105
S4 0.0000 0.0000 0.4374
S5 0.0000 0.0000 0.5603
S6 0.0000 0.0000 0.6873
S7 0.0000 0.0000 0.8107
S8 0.0000 0.0000 0.9374
S9 0.0082 0.5041 0.1870
S10 0.0084 0.5042 0.4368
S11 0.0088 0.5044 0.6866
S12 0.0141 0.5071 0.9369
S13 0.1702 0.3403 0.6446
S14 0.1707 0.3414 0.3945
S15 0.1710 0.3420 0.1447
S16 0.1709 0.3419 0.8947
```

Main lines, by angle (5 to 70 degrees two-theta):
h k l	Position (°2θ)	Rel. int.
0 0 12	15.5	56.4
0 2 4	30.0	40.4
0 0 24	31.4	6.6
0 2 16	36.4	100.0
2 1 4	39.8	8.0
0 2 28	47.8	16.8
2 2 0	52.4	72.6
2 2 12	55.0	9.4
4 0 16	65.5	19.9
2 0 44	67.7	5.0



# 7
Structure and theoretical powder X-ray diffraction pattern of Ti2CuS4 (the GGA-PBE geometry in the Materials Project; a wavelength of 1.5418 Å).
Kinematic intensities with the Lorentz-polarization factor, no thermal factor.

```
data_Ti2CuS4
_cell_length_a 6.7787
_cell_length_b 11.4123
_cell_length_c 7.0473
_cell_angle_alpha 90.00
_cell_angle_beta 118.70
_cell_angle_gamma 90.00
_space_group_name_H-M_alt 'C 1 c 1'
_space_group_IT_number 9
loop_
_space_group_symop_operation_xyz
'x,y,z'
'x,-y,z+1/2'
'x+1/2,y+1/2,z'
'x+1/2,-y+1/2,z+1/2'
loop_
_atom_site_label
_atom_site_fract_x
_atom_site_fract_y
_atom_site_fract_z
Ti1 0.0000 0.1244 0.0000
Ti2 0.4923 0.1269 0.9858
Cu1 0.4777 0.1218 0.5272
S1 0.1627 0.0073 0.8233
S2 0.1691 0.4973 0.8376
S3 0.3324 0.2473 0.1651
S4 0.3351 0.2595 0.6740
```

Main lines, by angle (5 to 70 degrees two-theta):
h k l	Position (°2θ)	Rel. int.
1 1 0	16.8	53.9
1 1 1	26.5	20.5
1 3 -1	27.8	17.6
2 0 0	30.1	29.0
0 2 2	33.0	29.7
2 2 -2	34.0	59.5
0 4 2	43.2	56.7
2 4 0	44.0	100.0
2 0 2	51.9	46.7
4 0 -2	54.1	19.6